(1)
The following is a simulated X-ray powder pattern of HgRhW. It was derived from the PBE geometry in Alexandria, using copper Kα.
Neutral-atom scattering factors, no anomalous dispersion.

Largest 12 diffraction maxima, sorted by position, 2θ from 15° to 90°:
Position (°2θ)  Rel. int.  h k l
24.71  14  0 1 1
38.01  100  0 1 3
38.84  98  1 1 0
43.96  69  1 0 3
46.05  30  0 2 0
65.06  11  2 0 0
65.55  41  1 2 3
76.32  23  1 1 6
77.91  25  2 1 3
79.86  12  0 3 3
80.38  12  1 3 0
83.34  14  2 2 0

a = 2.867 Å, b = 3.942 Å, c = 8.882 Å
α = 90.00°, β = 90.00°, γ = 90.00°
Space group Imm2 (No. 44)
Inequivalent atoms, fractional coordinates:
Hg  0.000  0.000  0.000 x2
Rh  0.000  0.000  0.320 x2
W  0.000  0.000  0.682 x2

=====

(2)
The following is a simulated X-ray powder pattern of SiPb3. It was derived from the PBE geometry in Alexandria, using copper Kα.
Neutral-atom scattering factors, no anomalous dispersion.

Largest 12 diffraction maxima, sorted by position, 2θ from 15° to 90°:
Position (°2θ)  Rel. int.  h k l
20.14  16  1 1 1
23.30  9  2 0 0
33.18  100  2 2 0
39.12  10  3 1 1
47.63  19  4 0 0
52.21  4  3 3 1
53.67  4  4 2 0
59.28  39  4 2 2
63.27  3  5 1 1
69.65  12  4 4 0
79.35  18  6 2 0
88.75  5  4 4 4

a = 7.637 Å, b = 7.637 Å, c = 7.637 Å
α = 90.00°, β = 90.00°, γ = 90.00°
Space group Fm-3m (No. 225)
Inequivalent atoms, fractional coordinates:
Si  0.000  0.000  0.000 x4
Pb  0.000  0.000  0.500 x4
Pb  0.250  0.250  0.250 x8

=====

(3)
The following is a simulated X-ray powder pattern of LiSmBi3. It was derived from the PBE geometry in Alexandria, using copper Kα.
Neutral-atom scattering factors, no anomalous dispersion.

Largest 12 diffraction maxima, sorted by position, 2θ from 15° to 90°:
Position (°2θ)  Rel. int.  h k l
27.20  23  0 0 2
27.51  33  3 1 1
27.97  35  1 0 2
30.15  46  2 0 2
31.16  100  2 2 0
32.23  40  5 0 0
33.48  45  3 0 2
34.42  25  3 2 0
40.21  48  1 2 2
47.84  34  4 2 2
56.73  24  5 3 1
65.58  25  2 2 4

a = 13.882 Å, b = 6.306 Å, c = 6.557 Å
α = 90.00°, β = 90.00°, γ = 90.00°
Space group Pbcm (No. 57)
Inequivalent atoms, fractional coordinates:
Li  0.112  0.250  0.000 x4
Sm  0.315  0.513  0.250 x4
Bi  0.076  0.703  0.250 x4
Bi  0.257  0.004  0.250 x4
Bi  0.495  0.250  0.000 x4